Theoretical PXRD pattern
Compound: CsScAgF6
Radiation: Cu Kα, 1.54184 Å
Structure: a DFT-relaxed cell (PBE, the Materials Project)

The 10 most intense peaks (2θ = 10–80°), in order of rising 2θ:
| two_theta | I (rel.) |
| --- | --- |
| 22.3 | 47 |
| 22.6 | 25 |
| 25.8 | 94 |
| 26.5 | 55 |
| 26.8 | 100 |
| 27.4 | 30 |
| 27.8 | 28 |
| 41.7 | 27 |
| 42.3 | 20 |
| 45.5 | 62 |

Structural model:
a = 7.9818 Å, b = 7.9818 Å, c = 7.9818 Å
α = 121.94°, β = 120.83°, γ = 87.61°
Atoms (fractional coordinates):
Cs (0.3733, 0.1233, 0.2500)
Cs (0.6267, 0.8767, 0.7500)
Sc (0.0000, 0.5000, 0.5000)
Sc (0.5000, 0.5000, 0.0000)
Ag (0.0000, 0.0000, 0.5000)
Ag (0.0000, 0.5000, 0.0000)
F (0.0629, 0.8129, 0.2500)
F (0.0794, 0.4264, 0.2720)
F (0.0794, 0.8073, 0.6530)
F (0.2997, 0.5497, 0.7500)
F (0.3457, 0.1927, 0.7720)
F (0.3457, 0.5736, 0.1530)
F (0.6543, 0.4264, 0.8470)
F (0.6543, 0.8073, 0.2280)
F (0.7003, 0.4503, 0.2500)
F (0.9206, 0.1927, 0.3470)
F (0.9206, 0.5736, 0.7280)
F (0.9371, 0.1871, 0.7500)


Theoretical PXRD pattern
Compound: SnGeO3
Radiation: Cu Kα, 1.54184 Å
Structure: a DFT-relaxed cell (PBE, the Materials Project)

The 10 most intense peaks (2θ = 10–80°), in order of rising 2θ:
| two_theta | I (rel.) |
| --- | --- |
| 13.9 | 100 |
| 26.8 | 88 |
| 30.3 | 69 |
| 33.6 | 87 |
| 36.5 | 35 |
| 43.5 | 24 |
| 44.3 | 26 |
| 55.3 | 67 |
| 56.0 | 23 |
| 60.0 | 31 |

Structural model:
a = 7.0769 Å, b = 7.0769 Å, c = 7.0769 Å
α = 44.31°, β = 44.31°, γ = 44.31°
Atoms (fractional coordinates):
Sn (0.1667, 0.1667, 0.1667)
Sn (0.8333, 0.8333, 0.8333)
Ge (0.3919, 0.3919, 0.3919)
Ge (0.6081, 0.6081, 0.6081)
O (0.1048, 0.4400, 0.7767)
O (0.2233, 0.8952, 0.5600)
O (0.4400, 0.7767, 0.1048)
O (0.5600, 0.2233, 0.8952)
O (0.7767, 0.1048, 0.4400)
O (0.8952, 0.5600, 0.2233)


Theoretical PXRD pattern
Compound: RbUB5O11F
Radiation: Cu Kα, 1.54184 Å
Structure: a DFT-relaxed cell (PBE, the Materials Project)

The 10 most intense peaks (2θ = 10–80°), in order of rising 2θ:
| two_theta | I (rel.) |
| --- | --- |
| 12.4 | 100 |
| 15.7 | 36 |
| 16.6 | 56 |
| 19.2 | 48 |
| 20.5 | 25 |
| 21.0 | 44 |
| 24.9 | 36 |
| 28.0 | 25 |
| 32.0 | 57 |
| 32.6 | 25 |

Structural model:
a = 6.5081 Å, b = 6.5081 Å, c = 14.3842 Å
α = 94.54°, β = 94.54°, γ = 60.29°
Atoms (fractional coordinates):
Rb (0.1345, 0.8655, 0.5000)
Rb (0.8655, 0.1345, 0.0000)
U (0.6414, 0.9065, 0.7182)
U (0.9065, 0.6414, 0.2182)
B (0.1581, 0.4883, 0.6788)
B (0.2249, 0.8222, 0.7515)
B (0.2503, 0.9713, 0.2222)
B (0.3513, 0.6580, 0.9064)
B (0.4229, 0.5433, 0.2681)
B (0.4883, 0.1581, 0.1788)
B (0.5433, 0.4229, 0.7681)
B (0.6580, 0.3513, 0.4064)
B (0.8222, 0.2249, 0.2515)
B (0.9713, 0.2503, 0.7222)
O (0.0454, 0.1880, 0.2164)
O (0.0666, 0.7450, 0.7018)
O (0.1880, 0.0454, 0.7164)
O (0.1929, 0.8426, 0.8528)
O (0.2313, 0.7793, 0.2431)
O (0.3172, 0.6868, 0.0009)
O (0.3343, 0.3812, 0.2295)
O (0.3812, 0.3343, 0.7295)
O (0.4535, 0.5355, 0.3710)
O (0.4622, 0.9547, 0.2060)
O (0.4728, 0.6517, 0.7285)
O (0.5355, 0.4535, 0.8710)
O (0.6058, 0.9044, 0.5930)
O (0.6517, 0.4728, 0.2285)
O (0.6771, 0.9035, 0.8435)
O (0.6868, 0.3172, 0.5009)
O (0.7450, 0.0666, 0.2018)
O (0.7793, 0.2313, 0.7431)
O (0.8426, 0.1929, 0.3528)
O (0.9044, 0.6058, 0.0930)
O (0.9035, 0.6771, 0.3435)
O (0.9547, 0.4622, 0.7060)
F (0.1844, 0.4426, 0.5812)
F (0.4426, 0.1844, 0.0812)


Theoretical PXRD pattern
Compound: Rb2PrBr5
Radiation: Cu Kα, 1.54184 Å
Structure: a DFT-relaxed cell (PBE, the Materials Project)

The 10 most intense peaks (2θ = 10–80°), in order of rising 2θ:
| two_theta | I (rel.) |
| --- | --- |
| 11.9 | 41 |
| 24.8 | 27 |
| 27.2 | 67 |
| 28.5 | 100 |
| 28.6 | 52 |
| 30.5 | 65 |
| 31.7 | 46 |
| 34.5 | 43 |
| 38.1 | 53 |
| 38.6 | 45 |

Structural model:
a = 14.1067 Å, b = 9.4532 Å, c = 8.7835 Å
α = 90.00°, β = 90.00°, γ = 90.00°
Atoms (fractional coordinates):
Rb (0.1721, 0.0051, 0.0525)
Rb (0.1721, 0.4949, 0.0525)
Rb (0.3279, 0.5051, 0.5525)
Rb (0.3279, 0.9949, 0.5525)
Rb (0.6721, 0.0051, 0.4475)
Rb (0.6721, 0.4949, 0.4475)
Rb (0.8279, 0.5051, 0.9475)
Rb (0.8279, 0.9949, 0.9475)
Pr (0.0046, 0.2500, 0.5754)
Pr (0.4954, 0.7500, 0.0754)
Pr (0.5046, 0.2500, 0.9246)
Pr (0.9954, 0.7500, 0.4246)
Br (0.0088, 0.2500, 0.9153)
Br (0.0743, 0.5423, 0.6608)
Br (0.0743, 0.9577, 0.6608)
Br (0.1749, 0.2500, 0.3779)
Br (0.1993, 0.7500, 0.3394)
Br (0.3007, 0.2500, 0.8394)
Br (0.3251, 0.7500, 0.8779)
Br (0.4257, 0.0423, 0.1608)
Br (0.4257, 0.4577, 0.1608)
Br (0.4912, 0.7500, 0.4153)
Br (0.5088, 0.2500, 0.5847)
Br (0.5743, 0.5423, 0.8392)
Br (0.5743, 0.9577, 0.8392)
Br (0.6749, 0.2500, 0.1221)
Br (0.6993, 0.7500, 0.1606)
Br (0.8007, 0.2500, 0.6606)
Br (0.8251, 0.7500, 0.6221)
Br (0.9257, 0.0423, 0.3392)
Br (0.9257, 0.4577, 0.3392)
Br (0.9912, 0.7500, 0.0847)


Theoretical PXRD pattern
Compound: Ta3MoS8
Radiation: Cu Kα, 1.54184 Å
Structure: a DFT-relaxed cell (PBE, the Materials Project)

The 10 most intense peaks (2θ = 10–80°), in order of rising 2θ:
| two_theta | I (rel.) |
| --- | --- |
| 13.9 | 100 |
| 31.5 | 32 |
| 32.6 | 32 |
| 36.5 | 35 |
| 39.3 | 34 |
| 45.9 | 22 |
| 49.7 | 15 |
| 55.4 | 16 |
| 57.4 | 16 |
| 58.0 | 11 |

Structural model:
a = 12.8687 Å, b = 12.8687 Å, c = 5.7479 Å
α = 94.31°, β = 94.31°, γ = 14.79°
Atoms (fractional coordinates):
Ta (0.0000, 0.0000, 0.0000)
Ta (0.2499, 0.2499, 0.7520)
Ta (0.4999, 0.4999, 0.4989)
Mo (0.7498, 0.7498, 0.2470)
S (0.0618, 0.0618, 0.6859)
S (0.1897, 0.1897, 0.3915)
S (0.3099, 0.3099, 0.4317)
S (0.4380, 0.4380, 0.1443)
S (0.5619, 0.5619, 0.1860)
S (0.6886, 0.6886, 0.8984)
S (0.8110, 0.8110, 0.9395)
S (0.9380, 0.9380, 0.6448)


Theoretical PXRD pattern
Compound: LaVS3
Radiation: Cu Kα, 1.54184 Å
Structure: a DFT-relaxed cell (PBE, the Materials Project)

The 10 most intense peaks (2θ = 10–80°), in order of rising 2θ:
| two_theta | I (rel.) |
| --- | --- |
| 23.2 | 74 |
| 23.8 | 44 |
| 24.1 | 44 |
| 29.3 | 56 |
| 33.0 | 40 |
| 33.4 | 63 |
| 35.5 | 100 |
| 37.1 | 27 |
| 41.4 | 46 |
| 47.4 | 35 |

Structural model:
a = 7.8065 Å, b = 3.8371 Å, c = 13.2331 Å
α = 90.00°, β = 90.00°, γ = 90.00°
Atoms (fractional coordinates):
La (0.0778, 0.2500, 0.1683)
La (0.4222, 0.7500, 0.6683)
La (0.5778, 0.2500, 0.3317)
La (0.9222, 0.7500, 0.8317)
V (0.1407, 0.7500, 0.4536)
V (0.3593, 0.2500, 0.9536)
V (0.6407, 0.7500, 0.0464)
V (0.8593, 0.2500, 0.5464)
S (0.0219, 0.7500, 0.6128)
S (0.1699, 0.7500, 0.0048)
S (0.2061, 0.2500, 0.7894)
S (0.2939, 0.7500, 0.2894)
S (0.3301, 0.2500, 0.5048)
S (0.4781, 0.2500, 0.1128)
S (0.5219, 0.7500, 0.8872)
S (0.6699, 0.7500, 0.4952)
S (0.7061, 0.2500, 0.7106)
S (0.7939, 0.7500, 0.2106)
S (0.8301, 0.2500, 0.9952)
S (0.9781, 0.2500, 0.3872)


Theoretical PXRD pattern
Compound: ScAl8Fe4
Radiation: Cu Kα, 1.54184 Å
Structure: a DFT-relaxed cell (PBE, the Materials Project)

The 10 most intense peaks (2θ = 10–80°), in order of rising 2θ:
| two_theta | I (rel.) |
| --- | --- |
| 20.7 | 67 |
| 29.4 | 23 |
| 36.1 | 21 |
| 41.8 | 79 |
| 42.0 | 100 |
| 47.0 | 66 |
| 47.3 | 42 |
| 60.8 | 21 |
| 69.1 | 11 |
| 76.6 | 22 |

Structural model:
a = 6.5737 Å, b = 6.5737 Å, c = 6.5737 Å
α = 98.32°, β = 98.32°, γ = 135.27°
Atoms (fractional coordinates):
Sc (0.0000, 0.0000, 0.0000)
Al (0.0000, 0.3356, 0.3356)
Al (0.0000, 0.6644, 0.6644)
Al (0.2821, 0.5000, 0.7821)
Al (0.3356, 0.0000, 0.3356)
Al (0.5000, 0.2821, 0.7821)
Al (0.5000, 0.7179, 0.2179)
Al (0.6644, 0.0000, 0.6644)
Al (0.7179, 0.5000, 0.2179)
Fe (0.0000, 0.0000, 0.5000)
Fe (0.0000, 0.5000, 0.0000)
Fe (0.5000, 0.0000, 0.0000)
Fe (0.5000, 0.5000, 0.5000)


Theoretical PXRD pattern
Compound: TmAu
Radiation: Cu Kα, 1.54184 Å
Structure: a DFT-relaxed cell (PBE, the Materials Project)

The 10 most intense peaks (2θ = 10–80°), in order of rising 2θ:
| two_theta | I (rel.) |
| --- | --- |
| 32.3 | 100 |
| 32.7 | 34 |
| 38.2 | 28 |
| 38.8 | 37 |
| 40.0 | 79 |
| 50.0 | 20 |
| 51.7 | 19 |
| 65.1 | 18 |
| 71.1 | 15 |
| 78.2 | 14 |

Structural model:
a = 3.6474 Å, b = 10.9488 Å, c = 4.6386 Å
α = 90.00°, β = 90.00°, γ = 90.00°
Atoms (fractional coordinates):
Tm (0.0000, 0.1400, 0.2500)
Tm (0.0000, 0.8600, 0.7500)
Tm (0.5000, 0.3600, 0.7500)
Tm (0.5000, 0.6400, 0.2500)
Au (0.0000, 0.4110, 0.2500)
Au (0.0000, 0.5890, 0.7500)
Au (0.5000, 0.0890, 0.7500)
Au (0.5000, 0.9110, 0.2500)


Theoretical PXRD pattern
Compound: SmErIr2
Radiation: Cu Kα, 1.54184 Å
Structure: a DFT-relaxed cell (PBE, the Materials Project)

The 5 most intense peaks (2θ = 10–80°), in order of rising 2θ:
| two_theta | I (rel.) |
| --- | --- |
| 25.8 | 1 |
| 36.8 | 100 |
| 53.1 | 18 |
| 66.3 | 36 |
| 78.4 | 11 |

Structural model:
a = 6.9024 Å, b = 6.9024 Å, c = 6.9024 Å
α = 90.00°, β = 90.00°, γ = 90.00°
Atoms (fractional coordinates):
Sm (0.0000, 0.0000, 0.0000)
Sm (0.0000, 0.5000, 0.5000)
Sm (0.5000, 0.0000, 0.5000)
Sm (0.5000, 0.5000, 0.0000)
Er (0.0000, 0.0000, 0.5000)
Er (0.0000, 0.5000, 0.0000)
Er (0.5000, 0.0000, 0.0000)
Er (0.5000, 0.5000, 0.5000)
Ir (0.2500, 0.2500, 0.2500)
Ir (0.2500, 0.2500, 0.7500)
Ir (0.2500, 0.7500, 0.2500)
Ir (0.2500, 0.7500, 0.7500)
Ir (0.7500, 0.2500, 0.2500)
Ir (0.7500, 0.2500, 0.7500)
Ir (0.7500, 0.7500, 0.2500)
Ir (0.7500, 0.7500, 0.7500)